This entry pairs a crystal structure of Mn21Cr2N6 with its theoretical powder XRD pattern. Radiation: Cu Kα. Structure: a cell relaxed with GGA-PBE.

The 8 most intense peaks (15° ≤ 2θ ≤ 90°), by angle:
- 2θ 38.73, 2.325 Å, I 21, (4 2 0)
- 2θ 42.60, 2.122 Å, I 27, (4 2 2)
- 2θ 45.32, 2.001 Å, I 100, (3 3 3)
- 2θ 49.60, 1.838 Å, I 22, (4 4 0)
- 2θ 52.03, 1.758 Å, I 26, (5 3 1)
- 2θ 52.83, 1.733 Å, I 16, (6 0 0)
- 2θ 77.97, 1.225 Å, I 19, (6 6 0)
- 2θ 79.90, 1.201 Å, I 13, (5 5 5)

Structural model:
```
data_Mn21Cr2N6
_space_group_name_H-M_alt 'F m -3 m'
_space_group_IT_number 225
_space_group_name_Hall '-F 4 2 3'
_cell_length_a 10.3977
_cell_length_b 10.3977
_cell_length_c 10.3977
_cell_angle_alpha 90.00
_cell_angle_beta 90.00
_cell_angle_gamma 90.00
loop_
_atom_site_label
_atom_site_type_symbol
_atom_site_fract_x
_atom_site_fract_y
_atom_site_fract_z
Mn1 Mn 0.0000 0.0000 0.0000
Mn2 Mn 0.0000 0.1659 0.1659
Mn3 Mn 0.1187 0.1187 0.3813
Cr1 Cr 0.2500 0.2500 0.2500
N1 N 0.0000 0.0000 0.2735
```